Record 1
Calculated powder X-ray diffraction pattern
Compound: CeDyMo4
Radiation: λ = 1.5418 Å (Cu Kα)
Structure: the GGA-PBE geometry in Alexandria
Peak positions follow from Bragg's law for the DFT cell and can differ from measured ones.

Cell and atoms:
```
CeDyMo4
1.0
0.0000 3.9082 3.9082
3.9082 0.0000 3.9082
3.9082 3.9082 0.0000
Ce Dy Mo
1 1 4
Cartesian
0.0000 0.0000 0.0000
5.8624 5.8624 5.8624
2.9298 2.9298 2.9298
4.8867 4.8867 2.9298
4.8867 2.9298 4.8867
2.9298 4.8867 4.8867
```

Top 10 peaks for 10 to 90 degrees two-theta, in order of rising 2θ:
Position (°2θ), d [Å], I_rel
32.40, 2.764, 42
38.19, 2.357, 100
39.96, 2.256, 27
46.47, 1.954, 1
57.79, 1.596, 16
61.66, 1.504, 32
67.82, 1.382, 26
77.18, 1.236, 7
80.59, 1.192, 11
81.72, 1.178, 10


Record 2
Calculated powder X-ray diffraction pattern
Compound: CeDyMoN3
Radiation: λ = 1.5418 Å (Cu Kα)
Structure: the GGA-PBE geometry in Alexandria
Peak positions follow from Bragg's law for the DFT cell and can differ from measured ones.

Cell and atoms:
```
CeDyMoN3
1.0
7.4206 0.0000 0.0000
0.0000 3.3043 0.0000
-0.7242 0.0000 7.7730
Ce Dy Mo N
2 2 2 6
Cartesian
1.0622 0.8261 1.3733
5.6342 2.4783 6.3997
2.1631 2.4783 6.5681
4.5334 0.8261 1.2049
0.3865 0.8261 4.5195
6.3099 2.4783 3.2535
0.3534 0.8261 6.5770
0.9524 2.4783 3.2835
2.8235 2.4783 1.0126
3.8729 0.8261 6.7604
5.7441 0.8261 4.4895
6.3430 2.4783 1.1960
```

Top 10 peaks for 10 to 90 degrees two-theta, in order of rising 2θ:
Position (°2θ), d [Å], I_rel
11.38, 7.773, 25
15.76, 5.622, 36
27.68, 3.223, 30
29.37, 3.041, 36
31.83, 2.811, 51
34.62, 2.591, 37
35.03, 2.562, 22
35.66, 2.517, 73
36.48, 2.463, 100
49.46, 1.843, 23


Record 3
Calculated powder X-ray diffraction pattern
Compound: CeDy3N3
Radiation: λ = 1.5418 Å (Cu Kα)
Structure: the GGA-PBE geometry in Alexandria
Peak positions follow from Bragg's law for the DFT cell and can differ from measured ones.

Cell and atoms:
```
CeDy3N3
1.0
5.4450 0.0000 0.0000
-0.0023 6.8413 0.0000
-0.3336 -1.7126 6.7427
Ce Dy N
2 6 6
Cartesian
1.2223 1.6981 2.4769
3.8868 3.4306 4.2658
0.9797 1.7024 5.8076
0.9856 5.1344 5.7954
1.2404 5.1352 2.4691
3.8686 -0.0065 4.2735
4.1234 -0.0058 0.9473
4.1294 3.4263 0.9351
0.0158 5.1341 0.0354
1.2675 0.0068 4.0392
1.2873 3.4100 4.0375
3.8218 1.7187 2.7052
3.8415 5.1219 2.7035
5.0933 -0.0054 6.7073
```

Top 10 peaks for 10 to 90 degrees two-theta, in order of rising 2θ:
Position (°2θ), d [Å], I_rel
30.50, 2.931, 61
31.43, 2.846, 45
31.78, 2.816, 52
31.92, 2.804, 57
32.92, 2.720, 100
42.70, 2.117, 40
46.49, 1.953, 23
56.07, 1.640, 17
62.92, 1.477, 16
64.35, 1.448, 17


Record 4
Calculated powder X-ray diffraction pattern
Compound: Ce6DyN8
Radiation: λ = 1.5418 Å (Cu Kα)
Structure: the GGA-PBE geometry in Alexandria
Peak positions follow from Bragg's law for the DFT cell and can differ from measured ones.

Cell and atoms:
```
Ce6DyN8
1.0
0.0000 4.9999 4.9999
4.9999 0.0000 4.9999
4.9999 4.9999 0.0000
Ce Dy N
6 1 8
Cartesian
2.5000 2.5000 0.0000
2.5000 0.0000 2.5000
4.9999 2.5000 2.5000
0.0000 2.5000 2.5000
2.5000 4.9999 2.5000
2.5000 2.5000 4.9999
0.0000 0.0000 0.0000
4.9999 4.9999 2.3484
4.9999 2.3484 4.9999
7.6514 4.9999 4.9999
2.5000 2.5000 2.5000
7.4999 7.4999 7.4999
2.3484 4.9999 4.9999
4.9999 7.6514 4.9999
4.9999 4.9999 7.6514
```

Top 10 peaks for 10 to 90 degrees two-theta, in order of rising 2θ:
Position (°2θ), d [Å], I_rel
15.35, 5.773, 20
29.63, 3.015, 11
30.98, 2.887, 100
35.92, 2.500, 78
51.71, 1.768, 53
61.51, 1.508, 45
64.57, 1.443, 18
76.16, 1.250, 8
84.46, 1.147, 19
87.19, 1.118, 24


Record 5
Calculated powder X-ray diffraction pattern
Compound: Ce3Dy5N8
Radiation: λ = 1.5418 Å (Cu Kα)
Structure: the GGA-PBE geometry in Alexandria
Peak positions follow from Bragg's law for the DFT cell and can differ from measured ones.

Cell and atoms:
```
Ce3Dy5N8
1.0
3.5079 2.0253 5.7261
-3.5079 2.0253 5.7261
0.0000 -4.0505 5.7261
Ce Dy N
3 5 8
Cartesian
-1.7539 -1.0126 5.7261
-1.7539 1.0126 11.4521
0.0000 2.0253 5.7261
0.0000 0.0000 0.0000
-3.5079 0.0000 8.5891
-1.7539 1.0126 2.8630
1.7539 1.0126 2.8630
0.0000 0.0000 8.5891
0.0000 0.0000 4.2782
0.0000 -2.0217 7.1529
-1.7508 1.0108 7.1529
-1.7508 -1.0108 10.0252
1.7508 1.0108 7.1529
1.7508 -1.0108 10.0253
0.0000 2.0217 10.0253
0.0000 0.0000 12.9000
```

Top 9 peaks for 10 to 90 degrees two-theta, in order of rising 2θ:
Position (°2θ), d [Å], I_rel
15.47, 5.727, 1
31.23, 2.864, 100
36.22, 2.480, 73
52.16, 1.754, 50
62.06, 1.496, 45
65.15, 1.432, 17
76.88, 1.240, 8
85.29, 1.138, 19
88.06, 1.109, 23


Record 6
Calculated powder X-ray diffraction pattern
Compound: Ce2DyPtN4
Radiation: λ = 1.5418 Å (Cu Kα)
Structure: the GGA-PBE geometry in Alexandria
Peak positions follow from Bragg's law for the DFT cell and can differ from measured ones.

Cell and atoms:
```
Ce2DyPtN4
1.0
1.7143 -5.8770 0.0000
1.7143 5.8770 0.0000
0.0000 0.0000 11.9035
Ce Dy Pt N
4 2 2 8
Cartesian
1.7143 4.3653 6.5922
1.7143 4.3653 11.2630
1.7143 -4.3653 0.6405
1.7143 -4.3653 5.3113
1.7143 1.3709 8.9276
1.7143 -1.3709 2.9759
1.7143 1.7344 2.9759
1.7143 -1.7344 8.9276
1.7143 5.4709 8.9276
1.7143 3.2540 1.4184
1.7143 3.2540 4.5334
1.7143 0.0000 0.0000
1.7143 0.0000 5.9517
1.7143 -3.2540 7.3701
1.7143 -3.2540 10.4851
1.7143 -5.4709 2.9759
```

Top 10 peaks for 10 to 90 degrees two-theta, in order of rising 2θ:
Position (°2θ), d [Å], I_rel
16.82, 5.270, 23
27.12, 3.289, 23
30.03, 2.976, 36
30.42, 2.938, 62
31.05, 2.880, 99
35.43, 2.533, 21
38.01, 2.367, 100
40.89, 2.207, 32
43.27, 2.091, 23
49.44, 1.843, 20


Record 7
Calculated powder X-ray diffraction pattern
Compound: CeDySe2N
Radiation: λ = 1.5418 Å (Cu Kα)
Structure: the GGA-PBE geometry in Alexandria
Peak positions follow from Bragg's law for the DFT cell and can differ from measured ones.

Cell and atoms:
```
CeDySe2N
1.0
4.0060 0.0000 0.0000
0.0000 4.0060 0.0000
0.0000 0.0000 14.5824
Ce Dy Se N
2 2 4 2
Cartesian
1.0015 1.0015 1.1270
3.0045 3.0045 13.4554
1.0015 1.0015 9.1295
3.0045 3.0045 5.4528
1.0015 1.0015 5.9956
1.0015 1.0015 11.7690
3.0045 3.0045 2.8134
3.0045 3.0045 8.5868
1.0015 3.0045 0.0000
3.0045 1.0015 0.0000
```

Top 10 peaks for 10 to 90 degrees two-theta, in order of rising 2θ:
Position (°2θ), d [Å], I_rel
24.42, 3.646, 27
25.37, 3.511, 40
28.88, 3.091, 27
31.58, 2.833, 100
33.23, 2.696, 18
38.17, 2.358, 39
40.32, 2.237, 36
45.27, 2.003, 41
54.65, 1.679, 22
60.66, 1.527, 20


Record 8
Calculated powder X-ray diffraction pattern
Compound: CeNd2Dy3
Radiation: λ = 1.5418 Å (Cu Kα)
Structure: the GGA-PBE geometry in Alexandria
Peak positions follow from Bragg's law for the DFT cell and can differ from measured ones.

Cell and atoms:
```
CeNd2Dy3
1.0
9.0395 -1.7318 0.0000
9.0395 1.7318 0.0000
-6.8664 0.0000 12.5317
Ce Nd Dy
2 4 6
Cartesian
0.1462 0.0000 1.3818
11.0665 0.0000 11.1499
-3.8209 0.0000 12.0463
1.5749 0.0000 7.8120
9.6377 0.0000 4.7197
15.0335 0.0000 0.4854
-1.8203 0.0000 6.6401
-1.0863 0.0000 9.9500
6.3029 0.0000 3.6720
4.9098 0.0000 8.8597
12.2990 0.0000 2.5817
13.0330 0.0000 5.8916
```

Top 10 peaks for 10 to 90 degrees two-theta, in order of rising 2θ:
Position (°2θ), d [Å], I_rel
28.01, 3.186, 48
28.67, 3.114, 50
30.10, 2.969, 100
31.86, 2.809, 99
32.00, 2.797, 90
32.29, 2.772, 35
33.53, 2.672, 37
36.50, 2.462, 38
52.86, 1.732, 28
63.06, 1.474, 28


Record 9
Calculated powder X-ray diffraction pattern
Compound: CeNd2Dy6
Radiation: λ = 1.5418 Å (Cu Kα)
Structure: the GGA-PBE geometry in Alexandria
Peak positions follow from Bragg's law for the DFT cell and can differ from measured ones.

Cell and atoms:
```
CeNd2Dy6
1.0
9.7818 0.0000 0.0000
-4.8909 8.4713 0.0000
0.0000 0.0000 3.5300
Ce Nd Dy
1 2 6
Cartesian
0.0000 0.0000 0.0000
0.0000 5.6475 2.6951
4.8909 2.8238 0.8350
-3.0806 5.7007 0.9488
1.4942 2.9530 0.9488
3.3045 0.1825 2.5813
1.5864 8.2888 0.9488
3.3967 5.5182 2.5813
7.9715 2.7705 2.5813
```

Top 10 peaks for 10 to 90 degrees two-theta, in order of rising 2θ:
Position (°2θ), d [Å], I_rel
31.25, 2.862, 81
31.69, 2.824, 100
33.03, 2.712, 15
37.94, 2.372, 14
45.10, 2.010, 27
53.85, 1.702, 11
56.17, 1.638, 26
56.44, 1.630, 19
62.01, 1.497, 18
66.20, 1.412, 13


Record 10
Calculated powder X-ray diffraction pattern
Compound: CeNd5Dy
Radiation: λ = 1.5418 Å (Cu Kα)
Structure: the GGA-PBE geometry in Alexandria
Peak positions follow from Bragg's law for the DFT cell and can differ from measured ones.

Cell and atoms:
```
CeNd5Dy
1.0
5.7901 0.0000 0.0000
0.0000 8.6872 0.0000
0.0000 0.0000 11.9198
Ce Nd Dy
2 10 2
Cartesian
0.0000 0.0000 0.0000
2.8951 4.3436 5.9599
0.0000 0.0000 2.9035
0.0000 0.0000 9.0163
0.0000 2.7511 0.0000
0.0000 4.3436 5.9599
0.0000 5.9361 0.0000
2.8951 0.0000 0.0000
2.8951 1.5925 5.9599
2.8951 4.3436 3.0564
2.8951 4.3436 8.8634
2.8951 7.0947 5.9599
0.0000 0.0000 5.9599
2.8951 4.3436 0.0000
```

Top 10 peaks for 10 to 90 degrees two-theta, in order of rising 2θ:
Position (°2θ), d [Å], I_rel
14.86, 5.960, 100
18.41, 4.818, 66
20.45, 4.344, 71
23.75, 3.747, 43
26.72, 3.336, 61
29.99, 2.980, 98
30.89, 2.895, 91
34.63, 2.590, 67
43.59, 2.076, 71
46.45, 1.955, 58


Record 11
Calculated powder X-ray diffraction pattern
Compound: CeNd3Dy4
Radiation: λ = 1.5418 Å (Cu Kα)
Structure: the GGA-PBE geometry in Alexandria
Peak positions follow from Bragg's law for the DFT cell and can differ from measured ones.

Cell and atoms:
```
CeNd3Dy4
1.0
25.4284 0.0000 0.0000
0.0000 3.4293 0.0000
-0.5210 0.0000 6.0861
Ce Nd Dy
2 6 8
Cartesian
0.0000 0.0000 0.0000
12.7142 1.7146 0.0000
-0.2605 1.7146 3.0431
3.3188 1.7146 4.5098
8.8744 0.0000 1.5764
12.4537 0.0000 3.0431
16.0330 0.0000 4.5098
21.5886 1.7146 1.5764
2.5746 1.7146 1.3660
5.4926 0.0000 1.4444
6.7006 1.7146 4.6417
9.6186 0.0000 4.7201
15.2888 0.0000 1.3660
18.2068 1.7146 1.4444
19.4148 0.0000 4.6417
22.3328 1.7146 4.7201
```

Top 10 peaks for 10 to 90 degrees two-theta, in order of rising 2θ:
Position (°2θ), d [Å], I_rel
28.16, 3.169, 67
29.35, 3.043, 45
29.60, 3.018, 60
29.97, 2.982, 80
30.69, 2.913, 67
31.50, 2.840, 100
32.20, 2.780, 95
32.98, 2.716, 61
36.08, 2.489, 45
52.78, 1.734, 46


Record 12
Calculated powder X-ray diffraction pattern
Compound: CeNd6Dy12
Radiation: λ = 1.5418 Å (Cu Kα)
Structure: the GGA-PBE geometry in Alexandria
Peak positions follow from Bragg's law for the DFT cell and can differ from measured ones.

Cell and atoms:
```
CeNd6Dy12
1.0
6.6602 3.8453 4.1905
-6.6602 3.8453 4.1905
0.0000 -7.6905 4.1905
Ce Nd Dy
1 6 12
Cartesian
0.0000 0.0000 0.0000
0.0000 -4.3109 3.5839
-3.7334 2.1555 3.5839
-3.7334 -2.1555 8.9876
3.7334 2.1555 3.5839
3.7334 -2.1555 8.9876
0.0000 4.3109 8.9876
-1.8216 -1.0517 3.2942
-1.7043 -2.9520 6.2858
-3.4086 0.0000 6.2858
1.8215 -1.0517 3.2942
0.0000 2.1033 3.2942
1.7043 -2.9520 6.2858
-1.7043 2.9520 6.2858
0.0000 -2.1033 9.2774
-1.8216 1.0517 9.2774
3.4086 0.0000 6.2858
1.7043 2.9520 6.2858
1.8215 1.0517 9.2773
```

Top 10 peaks for 10 to 90 degrees two-theta, in order of rising 2θ:
Position (°2θ), d [Å], I_rel
28.79, 3.101, 24
29.46, 3.032, 50
31.37, 2.851, 54
31.58, 2.833, 64
31.84, 2.811, 100
34.21, 2.621, 40
34.40, 2.607, 26
34.64, 2.590, 24
55.16, 1.665, 25
56.69, 1.624, 27


Record 13
Calculated powder X-ray diffraction pattern
Compound: CeNd6Dy
Radiation: λ = 1.5418 Å (Cu Kα)
Structure: the GGA-PBE geometry in Alexandria
Peak positions follow from Bragg's law for the DFT cell and can differ from measured ones.

Cell and atoms:
```
CeNd6Dy
1.0
0.0000 5.1416 7.3031
3.6526 0.0000 7.3031
3.6526 5.1416 0.0000
Ce Nd Dy
1 6 1
Cartesian
0.0000 0.0000 0.0000
1.8263 2.5708 1.7776
3.6526 5.1416 3.6195
1.8263 2.5708 5.5255
5.4789 7.7124 9.0807
3.6526 5.1416 10.9867
5.4789 7.7124 12.8287
3.6526 5.1416 7.3031
```

Top 10 peaks for 10 to 90 degrees two-theta, in order of rising 2θ:
Position (°2θ), d [Å], I_rel
30.01, 2.977, 100
34.74, 2.582, 34
34.90, 2.571, 17
49.94, 1.826, 12
50.07, 1.822, 24
59.37, 1.557, 29
59.59, 1.552, 14
62.38, 1.489, 12
81.20, 1.185, 6
81.39, 1.182, 12